# 1
Simulated powder diffraction line list
Compound: Dy3Sn3Ru2
Radiation: Cu Kα, 1.54184 Å
Structure: a GGA-PBE-relaxed structure

Atomic structure:
abc: 8.3398 15.2754 5.8579
angles: 90.00 90.00 90.00
Atoms (fractional coordinates):
Dy1 0.0344 0.1120 0.1006
Dy2 0.0344 0.3880 0.1006
Dy3 0.1750 0.2500 0.6324
Dy4 0.3250 0.7500 0.1325
Dy5 0.4656 0.6120 0.6006
Dy6 0.4656 0.8880 0.6006
Dy7 0.5344 0.1120 0.3994
Dy8 0.5344 0.3880 0.3994
Dy9 0.6750 0.2500 0.8676
Dy10 0.8250 0.7500 0.3676
Dy11 0.9656 0.6120 0.8994
Dy12 0.9656 0.8880 0.8994
Sn1 0.1727 0.7500 0.6304
Sn2 0.1810 0.0344 0.5996
Sn3 0.1810 0.4656 0.5996
Sn4 0.3190 0.5344 0.0996
Sn5 0.3190 0.9656 0.0996
Sn6 0.3273 0.2500 0.1304
Sn7 0.6727 0.7500 0.8696
Sn8 0.6810 0.0344 0.9004
Sn9 0.6810 0.4656 0.9004
Sn10 0.8190 0.5344 0.4004
Sn11 0.8190 0.9656 0.4004
Sn12 0.8273 0.2500 0.3696
Ru1 0.0999 0.6119 0.3568
Ru2 0.0999 0.8881 0.3568
Ru3 0.4001 0.1119 0.8568
Ru4 0.4001 0.3881 0.8568
Ru5 0.5999 0.6119 0.1432
Ru6 0.5999 0.8881 0.1432
Ru7 0.9001 0.1119 0.6432
Ru8 0.9001 0.3881 0.6432

Largest 8 diffraction maxima, sorted by position, 2θ from 10° to 90°:
2θ = 29.9°, I 51; 2θ = 31.8°, I 100; 2θ = 32.4°, I 43; 2θ = 32.9°, I 56; 2θ = 35.4°, I 88; 2θ = 35.8°, I 79; 2θ = 37.0°, I 71; 2θ = 40.3°, I 55



# 2
Simulated powder diffraction line list
Compound: Na5B6C4
Radiation: Cu Kα, 1.54184 Å
Structure: a GGA-PBE-relaxed structure

Atomic structure:
abc: 12.5765 12.5765 8.4837
angles: 90.00 90.00 167.07
Atoms (fractional coordinates):
Na1 0.0000 0.0000 0.0000
Na2 0.0000 0.0000 0.5000
Na3 0.2001 0.7999 0.0000
Na4 0.2001 0.7999 0.5000
Na5 0.3998 0.6002 0.5031
Na6 0.3998 0.6002 0.9969
Na7 0.6002 0.3998 0.0031
Na8 0.6002 0.3998 0.4969
Na9 0.7999 0.2001 0.0000
Na10 0.7999 0.2001 0.5000
B1 0.0674 0.9326 0.2500
B2 0.0693 0.9308 0.7500
B3 0.1391 0.8609 0.2500
B4 0.2636 0.7365 0.7500
B5 0.3337 0.6663 0.2500
B6 0.4728 0.5272 0.7500
B7 0.5272 0.4728 0.2500
B8 0.6663 0.3337 0.7500
B9 0.7365 0.2636 0.2500
B10 0.8609 0.1391 0.7500
B11 0.9308 0.0693 0.2500
B12 0.9326 0.0674 0.7500
C1 0.1346 0.8654 0.7500
C2 0.2681 0.7319 0.2500
C3 0.3292 0.6708 0.7500
C4 0.4628 0.5372 0.2500
C5 0.5372 0.4628 0.7500
C6 0.6708 0.3292 0.2500
C7 0.7319 0.2681 0.7500
C8 0.8654 0.1346 0.2500

Largest 8 diffraction maxima, sorted by position, 2θ from 10° to 90°:
2θ = 36.5°, I 18; 2θ = 42.0°, I 51; 2θ = 42.4°, I 100; 2θ = 42.6°, I 39; 2θ = 64.9°, I 17; 2θ = 77.9°, I 13; 2θ = 80.8°, I 17; 2θ = 81.3°, I 11



# 3
Simulated powder diffraction line list
Compound: La3Sm3HoTe8
Radiation: Cu Kα, 1.54184 Å
Structure: a GGA-PBE-relaxed structure

Atomic structure:
abc: 9.0164 9.0164 9.0164
angles: 59.49 59.49 59.49
Atoms (fractional coordinates):
La1 0.0000 0.5000 0.5000
La2 0.5000 0.0000 0.5000
La3 0.5000 0.5000 0.0000
Sm1 0.0000 0.0000 0.5000
Sm2 0.0000 0.5000 0.0000
Sm3 0.5000 0.0000 0.0000
Ho1 0.5000 0.5000 0.5000
Te1 0.2471 0.2471 0.2471
Te2 0.2466 0.7476 0.7476
Te3 0.2524 0.2524 0.7534
Te4 0.2524 0.7534 0.2524
Te5 0.7476 0.2466 0.7476
Te6 0.7476 0.7476 0.2466
Te7 0.7534 0.2524 0.2524
Te8 0.7529 0.7529 0.7529

Largest 8 diffraction maxima, sorted by position, 2θ from 10° to 90°:
2θ = 28.1°, I 100; 2θ = 40.0°, I 38; 2θ = 40.3°, I 38; 2θ = 49.9°, I 20; 2θ = 58.1°, I 13; 2θ = 65.5°, I 18; 2θ = 66.0°, I 17; 2θ = 73.1°, I 13



# 4
Simulated powder diffraction line list
Compound: Li7In4Ir
Radiation: Cu Kα, 1.54184 Å
Structure: a GGA-PBE-relaxed structure

Atomic structure:
abc: 7.7082 7.7082 7.2957
angles: 114.80 114.80 34.70
Atoms (fractional coordinates):
Li1 0.0000 0.0000 0.0000
Li2 0.2136 0.2136 0.6327
Li3 0.3380 0.3380 0.0709
Li4 0.4040 0.4040 0.5956
Li5 0.5960 0.5960 0.4044
Li6 0.6620 0.6620 0.9291
Li7 0.7864 0.7864 0.3673
In1 0.0469 0.0469 0.7216
In2 0.1799 0.1799 0.2182
In3 0.8201 0.8201 0.7818
In4 0.9531 0.9531 0.2784
Ir1 0.5000 0.5000 0.0000

Largest 8 diffraction maxima, sorted by position, 2θ from 10° to 90°:
2θ = 13.4°, I 52; 2θ = 13.5°, I 36; 2θ = 26.2°, I 48; 2θ = 27.0°, I 100; 2θ = 36.3°, I 53; 2θ = 36.7°, I 68; 2θ = 38.1°, I 35; 2θ = 39.2°, I 35